Entry 1:
Simulated X-ray powder pattern of MgSi2Ni3 for a wavelength of 1.5418 Å, from a crystal structure in Alexandria, relaxed with PBE.
Peak positions follow from Bragg's law for the DFT cell and can differ from measured ones.

Peak list (12 most intense, 2θ = 10–90°, by angle)
| 2θ/deg | I (rel.) |
| --- | --- |
| 15.85 | 34 |
| 27.28 | 28 |
| 35.64 | 7 |
| 41.74 | 100 |
| 45.99 | 95 |
| 48.65 | 15 |
| 48.94 | 10 |
| 56.22 | 8 |
| 63.84 | 26 |
| 82.20 | 24 |
| 85.04 | 16 |
| 85.16 | 14 |

Crystal structure
Cell lengths 3.947, 3.947, 11.182 Å; angles 90.00, 90.00, 120.00 degrees
Positions (direct):
1 Mg 0.000 0.000 0.250
2 Mg 0.000 0.000 0.750
3 Si 0.333 0.667 0.090
4 Si 0.333 0.667 0.410
5 Si 0.667 0.333 0.590
6 Si 0.667 0.333 0.910
7 Ni 0.000 0.000 0.000
8 Ni 0.000 0.000 0.500
9 Ni 0.333 0.667 0.621
10 Ni 0.333 0.667 0.879
11 Ni 0.667 0.333 0.121
12 Ni 0.667 0.333 0.379

Entry 2:
Simulated X-ray powder pattern of Mg2Si3Ni5 for a wavelength of 1.5418 Å, from a crystal structure in Alexandria, relaxed with PBE.
Peak positions follow from Bragg's law for the DFT cell and can differ from measured ones.

Peak list (12 most intense, 2θ = 10–90°, by angle)
| 2θ/deg | I (rel.) |
| --- | --- |
| 21.83 | 21 |
| 24.60 | 17 |
| 30.13 | 25 |
| 39.57 | 32 |
| 40.18 | 77 |
| 43.07 | 100 |
| 44.38 | 24 |
| 44.94 | 32 |
| 47.48 | 57 |
| 52.11 | 27 |
| 52.75 | 16 |
| 67.44 | 17 |

Crystal structure
Cell lengths 11.023, 11.023, 6.158 Å; angles 90.00, 90.00, 159.99 degrees
Positions (direct):
1 Mg 0.021 0.979 0.500
2 Mg 0.321 0.679 0.386
3 Mg 0.679 0.321 0.886
4 Mg 0.979 0.021 0.000
5 Si 0.120 0.880 0.257
6 Si 0.280 0.720 0.846
7 Si 0.455 0.545 0.290
8 Si 0.545 0.455 0.790
9 Si 0.720 0.280 0.346
10 Si 0.880 0.120 0.757
11 Ni 0.098 0.902 0.877
12 Ni 0.202 0.798 0.562
13 Ni 0.219 0.781 0.144
14 Ni 0.381 0.619 0.009
15 Ni 0.441 0.559 0.658
16 Ni 0.559 0.441 0.158
17 Ni 0.619 0.381 0.509
18 Ni 0.781 0.219 0.644
19 Ni 0.798 0.202 0.062
20 Ni 0.902 0.098 0.377